1.
Theoretical X-ray diffraction stick pattern of Sm3Hg4Pb for Cu Ka, from a GGA-PBE-relaxed structure.
Lines closer than 0.1° are merged.

Crystal structure
Unit cell a=5.3078 b=5.3078 c=26.7073 alpha=90.00 beta=90.00 gamma=120.00
Space group R-3m (No. 166, hexagonal axes)
One atom of each set of equivalent atoms:
Sm 0.0000 0.0000 0.0000
Sm 0.0000 0.0000 0.2427
Hg 0.0000 0.0000 0.1191
Hg 0.0000 0.0000 0.3684
Pb 0.0000 0.0000 0.5000

Peak list (12 most intense, 5 to 70 degrees two-theta, most intense first)
- hkl 1 1 0, d 2.654, I = 100.0
- hkl 0 1 8, d 2.701, I = 96.5
- hkl 1 2 8, d 1.541, I = 35.9
- hkl 2 0 8, d 1.893, I = 34.7
- hkl 3 0 0, d 1.532, I = 19.4
- hkl 1 0 16, d 1.569, I = 14.6
- hkl 0 2 16, d 1.351, I = 9.0
- hkl 1 0 7, d 2.936, I = 5.6
- hkl 1 1 15, d 1.479, I = 4.9
- hkl 1 1 9, d 1.978, I = 2.8
- hkl 1 0 4, d 3.786, I = 2.2
- hkl 0 1 17, d 1.487, I = 2.2

---

2.
Theoretical X-ray diffraction stick pattern of SmHg5Pb2 for Cu Ka, from a GGA-PBE-relaxed structure.
Lines closer than 0.1° are merged.

Crystal structure
Unit cell a=7.8695 b=7.8695 c=6.9804 alpha=90.00 beta=90.00 gamma=90.00
Space group I4mm (No. 107)
One atom of each set of equivalent atoms:
Sm 0.0000 0.0000 0.0000
Hg 0.0000 0.0000 0.4992
Hg 0.2502 0.2502 0.2496
Pb 0.0000 0.5000 0.9996

Peak list (7 most intense, 5 to 70 degrees two-theta, most intense first)
- hkl 2 0 2, d 2.611, I = 100.0
- hkl 2 2 0, d 2.782, I = 59.3
- hkl 4 2 2, d 1.571, I = 43.7
- hkl 4 0 0, d 1.967, I = 22.2
- hkl 2 2 4, d 1.478, I = 17.9
- hkl 0 0 4, d 1.745, I = 7.7
- hkl 4 4 0, d 1.391, I = 7.3